# 1
Structure and calculated X-ray powder pattern of K3Ta2Cu3S8 (the PBE geometry in the Materials Project; a wavelength of 1.5418 Å).
No peak broadening, texture or thermal motion is included.

Atomic structure:
a = 12.2134 Å, b = 12.2134 Å, c = 14.4669 Å
α = 119.51°, β = 119.51°, γ = 26.39°
Sites, in units of the cell vectors:
K1 0.0000 0.0000 0.0000
K2 0.0000 0.0000 0.5000
K3 0.2711 0.3472 0.9058
K4 0.3472 0.2711 0.4058
K5 0.6528 0.7289 0.5942
K6 0.7289 0.6528 0.0942
Ta1 0.1558 0.5918 0.2197
Ta2 0.4082 0.8442 0.2803
Ta3 0.5918 0.1558 0.7197
Ta4 0.8442 0.4082 0.7803
Cu1 0.0945 0.6586 0.7184
Cu2 0.2783 0.7217 0.2500
Cu3 0.3414 0.9055 0.7816
Cu4 0.6586 0.0945 0.2184
Cu5 0.7217 0.2783 0.7500
Cu6 0.9055 0.3414 0.2816
S1 0.0421 0.1395 0.8733
S2 0.1270 0.1872 0.6878
S3 0.1395 0.0421 0.3733
S4 0.1872 0.1270 0.1878
S5 0.2600 0.3203 0.6097
S6 0.3203 0.2600 0.1097
S7 0.4424 0.4786 0.8391
S8 0.4786 0.4424 0.3391
S9 0.5214 0.5576 0.6609
S10 0.5576 0.5214 0.1609
S11 0.6797 0.7400 0.8903
S12 0.7400 0.6797 0.3903
S13 0.8128 0.8730 0.8122
S14 0.8605 0.9579 0.6267
S15 0.8730 0.8128 0.3122
S16 0.9579 0.8605 0.1267

Peak list (6 most intense, 2θ from 10° to 90°, low angle first)
2θ 12.3, I 25; 2θ 14.2, I 100; 2θ 15.9, I 47; 2θ 17.1, I 32; 2θ 17.3, I 36; 2θ 25.3, I 32

---

# 2
Structure and calculated X-ray powder pattern of KTb2CuS4 (the PBE geometry in the Materials Project; a wavelength of 1.5418 Å).
No peak broadening, texture or thermal motion is included.

Atomic structure:
a = 7.0737 Å, b = 7.0737 Å, c = 13.7714 Å
α = 90.00°, β = 90.00°, γ = 147.39°
Sites, in units of the cell vectors:
K1 0.1092 0.8908 0.7500
K2 0.8908 0.1092 0.2500
Tb1 0.3657 0.6343 0.5631
Tb2 0.3657 0.6343 0.9369
Tb3 0.6343 0.3657 0.0631
Tb4 0.6343 0.3657 0.4369
Cu1 0.1626 0.8374 0.2500
Cu2 0.8374 0.1626 0.7500
S1 0.0000 0.0000 0.0000
S2 0.0000 0.0000 0.5000
S3 0.2626 0.7374 0.1115
S4 0.2626 0.7374 0.3885
S5 0.4309 0.5691 0.7500
S6 0.5691 0.4309 0.2500
S7 0.7374 0.2626 0.6115
S8 0.7374 0.2626 0.8885

Peak list (6 most intense, 2θ from 10° to 90°, low angle first)
2θ 14.5, I 92; 2θ 23.4, I 88; 2θ 30.5, I 39; 2θ 32.7, I 100; 2θ 35.2, I 53; 2θ 45.0, I 62

---

# 3
Structure and calculated X-ray powder pattern of K3Th2Cu3S7 (the PBE geometry in the Materials Project; a wavelength of 1.5418 Å).
No peak broadening, texture or thermal motion is included.

Atomic structure:
a = 7.4156 Å, b = 7.4156 Å, c = 24.7595 Å
α = 90.00°, β = 90.00°, γ = 148.16°
Sites, in units of the cell vectors:
K1 0.0462 0.9538 0.5622
K2 0.0462 0.9538 0.9378
K3 0.4309 0.5691 0.2500
K4 0.5691 0.4309 0.7500
K5 0.9538 0.0462 0.0622
K6 0.9538 0.0462 0.4378
Th1 0.3092 0.6908 0.6419
Th2 0.3092 0.6908 0.8581
Th3 0.6908 0.3092 0.1419
Th4 0.6908 0.3092 0.3581
Cu1 0.1594 0.8406 0.2500
Cu2 0.2367 0.7633 0.0376
Cu3 0.2367 0.7633 0.4624
Cu4 0.7633 0.2367 0.5376
Cu5 0.7633 0.2367 0.9624
Cu6 0.8406 0.1594 0.7500
S1 0.0666 0.9334 0.1726
S2 0.0666 0.9334 0.3274
S3 0.2488 0.7512 0.7500
S4 0.3175 0.6825 0.1200
S5 0.3175 0.6825 0.3800
S6 0.3574 0.6426 0.5326
S7 0.3574 0.6426 0.9674
S8 0.6426 0.3574 0.0326
S9 0.6426 0.3574 0.4674
S10 0.6825 0.3175 0.6200
S11 0.6825 0.3175 0.8800
S12 0.7512 0.2488 0.2500
S13 0.9334 0.0666 0.6726
S14 0.9334 0.0666 0.8274

Peak list (6 most intense, 2θ from 10° to 90°, low angle first)
2θ 12.4, I 100; 2θ 12.9, I 70; 2θ 25.2, I 37; 2θ 28.9, I 41; 2θ 29.1, I 69; 2θ 32.4, I 52

---

# 4
Structure and calculated X-ray powder pattern of K2TiCu2S4 (the PBE geometry in the Materials Project; a wavelength of 1.5418 Å).
No peak broadening, texture or thermal motion is included.

Atomic structure:
a = 5.5463 Å, b = 5.5463 Å, c = 12.9546 Å
α = 90.00°, β = 90.00°, γ = 90.00°
Sites, in units of the cell vectors:
K1 0.2403 0.2403 0.0000
K2 0.2403 0.7597 0.5000
K3 0.7597 0.2403 0.5000
K4 0.7597 0.7597 0.0000
Ti1 0.5000 0.5000 0.2500
Ti2 0.5000 0.5000 0.7500
Cu1 0.0000 0.5000 0.2500
Cu2 0.0000 0.5000 0.7500
Cu3 0.5000 0.0000 0.2500
Cu4 0.5000 0.0000 0.7500
S1 0.2604 0.2604 0.3496
S2 0.2604 0.2604 0.6504
S3 0.2604 0.7396 0.1504
S4 0.2604 0.7396 0.8496
S5 0.7396 0.2604 0.1504
S6 0.7396 0.2604 0.8496
S7 0.7396 0.7396 0.3496
S8 0.7396 0.7396 0.6504

Peak list (6 most intense, 2θ from 10° to 90°, low angle first)
2θ 13.7, I 87; 2θ 30.8, I 100; 2θ 35.2, I 81; 2θ 42.9, I 39; 2θ 46.3, I 53; 2θ 53.8, I 58

---

# 5
Structure and calculated X-ray powder pattern of K2UCu3S5 (the PBE geometry in the Materials Project; a wavelength of 1.5418 Å).
No peak broadening, texture or thermal motion is included.

Atomic structure:
a = 7.2693 Å, b = 7.2693 Å, c = 17.6194 Å
α = 90.00°, β = 90.00°, γ = 148.53°
Sites, in units of the cell vectors:
K1 0.2363 0.7637 0.6340
K2 0.2363 0.7637 0.8660
K3 0.7637 0.2363 0.1340
K4 0.7637 0.2363 0.3660
U1 0.5000 0.5000 0.0000
U2 0.5000 0.5000 0.5000
Cu1 0.0436 0.9564 0.1437
Cu2 0.0436 0.9564 0.3563
Cu3 0.4465 0.5535 0.7500
Cu4 0.5535 0.4465 0.2500
Cu5 0.9564 0.0436 0.6437
Cu6 0.9564 0.0436 0.8563
S1 0.1245 0.8755 0.0299
S2 0.1245 0.8755 0.4701
S3 0.1465 0.8535 0.2500
S4 0.4479 0.5521 0.1419
S5 0.4479 0.5521 0.3581
S6 0.5521 0.4479 0.6419
S7 0.5521 0.4479 0.8581
S8 0.8535 0.1465 0.7500
S9 0.8755 0.1245 0.5299
S10 0.8755 0.1245 0.9701

Peak list (6 most intense, 2θ from 10° to 90°, low angle first)
2θ 10.0, I 20; 2θ 12.7, I 100; 2θ 25.5, I 28; 2θ 29.7, I 20; 2θ 31.1, I 35; 2θ 36.1, I 32

---

# 6
Structure and calculated X-ray powder pattern of KUCuS3 (the PBE geometry in the Materials Project; a wavelength of 1.5418 Å).
No peak broadening, texture or thermal motion is included.

Atomic structure:
a = 7.3464 Å, b = 7.3464 Å, c = 10.2957 Å
α = 90.00°, β = 90.00°, γ = 148.71°
Sites, in units of the cell vectors:
K1 0.2434 0.7566 0.7500
K2 0.7566 0.2434 0.2500
U1 0.5000 0.5000 0.0000
U2 0.5000 0.5000 0.5000
Cu1 0.0327 0.9673 0.2500
Cu2 0.9673 0.0327 0.7500
S1 0.1224 0.8776 0.0629
S2 0.1224 0.8776 0.4371
S3 0.4386 0.5614 0.2500
S4 0.5614 0.4386 0.7500
S5 0.8776 0.1224 0.5629
S6 0.8776 0.1224 0.9371

Peak list (6 most intense, 2θ from 10° to 90°, low angle first)
2θ 12.5, I 100; 2θ 21.3, I 26; 2θ 29.1, I 40; 2θ 29.4, I 20; 2θ 34.3, I 43; 2θ 43.0, I 26

---

# 7
Structure and calculated X-ray powder pattern of KVCu2S4 (the PBE geometry in the Materials Project; a wavelength of 1.5418 Å).
No peak broadening, texture or thermal motion is included.

Atomic structure:
a = 7.4346 Å, b = 9.4191 Å, c = 9.4191 Å
α = 146.65°, β = 90.00°, γ = 90.00°
Sites, in units of the cell vectors:
K1 0.2500 0.1822 0.8178
K2 0.7500 0.8178 0.1822
V1 0.2500 0.1327 0.3513
V2 0.7500 0.3513 0.1327
Cu1 0.0000 0.2587 0.2587
Cu2 0.2500 0.6338 0.8492
Cu3 0.5000 0.2587 0.2587
Cu4 0.7500 0.8492 0.6338
S1 0.0083 0.3673 0.5854
S2 0.2500 0.9999 0.0147
S3 0.2500 0.8005 0.2137
S4 0.4917 0.3673 0.5854
S5 0.5083 0.5854 0.3673
S6 0.7500 0.0147 0.9999
S7 0.7500 0.2137 0.8005
S8 0.9917 0.5854 0.3673

Peak list (6 most intense, 2θ from 10° to 90°, low angle first)
2θ 15.4, I 100; 2θ 29.6, I 69; 2θ 29.8, I 54; 2θ 36.8, I 28; 2θ 46.1, I 69; 2θ 51.7, I 36